Theoretical powder diffraction line list of Nd2Dy4C for Cu Kα, from DFT lattice parameters and positions (GGA-PBE).
Neutral-atom scattering factors, no anomalous dispersion.

The 8 most intense peaks (10 to 90 degrees two-theta), sorted by position:
| 2θ/deg | I/Imax | hkl |
| --- | --- | --- |
| 28.83 | 36.3 | 0 1 2 |
| 29.65 | 50.7 | 0 0 18 |
| 31.59 | 94.7 | 0 1 8 |
| 33.15 | 100.0 | 1 0 10 |
| 44.27 | 19.0 | 0 1 20 |
| 50.72 | 41.0 | 1 1 0 |
| 55.89 | 23.2 | 1 0 28 |
| 59.86 | 42.3 | 1 1 18 |

Structural model:
abc: 3.5999 3.5999 54.2289
angles: 90.00 90.00 120.00
Space group R-3m (No. 166, hexagonal axes)
One atom of each set of equivalent atoms:
Nd1 0.0000 0.0000 0.2455 [6 per cell]
Dy1 0.0000 0.0000 0.1402 [6 per cell]
Dy2 0.0000 0.0000 0.3582 [6 per cell]
C1 0.0000 0.0000 0.0000 [3 per cell]